# Nd3Er4Tm2
Calculated powder XRD pattern, Cu Ka. Input: DFT lattice parameters and positions (PBE).

Peak list (10 most intense, 10° ≤ 2θ ≤ 90°, low angle first)
- 2θ = 30.3°, rel. 18
- 2θ = 31.3°, rel. 21
- 2θ = 31.9°, rel. 100
- 2θ = 32.2°, rel. 37
- 2θ = 33.7°, rel. 25
- 2θ = 51.6°, rel. 11
- 2θ = 54.1°, rel. 11
- 2θ = 58.2°, rel. 13
- 2θ = 61.9°, rel. 30
- 2θ = 62.0°, rel. 11

Cell and atoms:
```
data_Nd3Er4Tm2
_chemical_formula_sum 'Nd3 Er4 Tm2'
_cell_length_a 8.7538
_cell_length_b 8.7538
_cell_length_c 9.6906
_cell_angle_alpha 100.74
_cell_angle_beta 100.74
_cell_angle_gamma 23.36
_symmetry_space_group_name_H-M 'P 1'
_symmetry_Int_Tables_number 1
_symmetry_space_group_name_Hall 'P 1'
loop_
_atom_site_label
_atom_site_type_symbol
_atom_site_fract_x
_atom_site_fract_y
_atom_site_fract_z
Nd1 Nd 0.0000 0.0000 0.0000
Nd2 Nd 0.1545 0.1545 0.5872
Nd3 Nd 0.8455 0.8455 0.4128
Er1 Er 0.1755 0.1755 0.2339
Er2 Er 0.4843 0.4843 0.6750
Er3 Er 0.5157 0.5157 0.3250
Er4 Er 0.8245 0.8245 0.7661
Tm1 Tm 0.3350 0.3350 0.0779
Tm2 Tm 0.6650 0.6650 0.9221
```